[1]
Simulated powder X-ray diffraction pattern
Compound: PmSe3
Radiation: CuKα
Structure: a PBE-relaxed structure
Intensities are scaled so that the largest is 100.

Atomic structure:
Unit cell a=4.1618 b=4.1618 c=10.7591 alpha=90.00 beta=90.00 gamma=90.00
Fractional positions:
Pm 0.0000 0.0000 0.0000
Pm 0.5000 0.5000 0.5000
Se 0.0000 0.0000 0.5000
Se 0.0000 0.5000 0.2500
Se 0.0000 0.5000 0.7500
Se 0.5000 0.0000 0.2500
Se 0.5000 0.0000 0.7500
Se 0.5000 0.5000 0.0000

Top 8 peaks for 10° ≤ 2θ ≤ 90°, sorted by position:
| 2theta | Rel. int. |
| --- | --- |
| 33.31 | 28 |
| 34.75 | 100 |
| 43.49 | 27 |
| 55.86 | 25 |
| 60.46 | 20 |
| 63.19 | 9 |
| 73.34 | 11 |
| 74.18 | 22 |

[2]
Simulated powder X-ray diffraction pattern
Compound: CsHSeO4
Radiation: CuKα
Structure: a PBE-relaxed structure
Intensities are scaled so that the largest is 100.

Atomic structure:
Unit cell a=8.1563 b=8.6862 c=7.9640 alpha=90.00 beta=110.48 gamma=90.00
Fractional positions:
Cs 0.2061 0.1252 0.2063
Cs 0.2061 0.3748 0.7063
Cs 0.7939 0.6252 0.2937
Cs 0.7939 0.8748 0.7937
H 0.3896 0.7076 0.9616
H 0.3896 0.7924 0.4616
H 0.6104 0.2076 0.5384
H 0.6104 0.2924 0.0384
Se 0.2558 0.6276 0.2207
Se 0.2558 0.8724 0.7207
Se 0.7442 0.1276 0.2793
Se 0.7442 0.3724 0.7793
O 0.1071 0.7364 0.6416
O 0.1071 0.7636 0.1416
O 0.1843 0.0205 0.8047
O 0.1843 0.4795 0.3047
O 0.3522 0.5724 0.0765
O 0.3522 0.9276 0.5765
O 0.4348 0.7121 0.3930
O 0.4348 0.7879 0.8930
O 0.5652 0.2121 0.1070
O 0.5652 0.2879 0.6070
O 0.6478 0.0724 0.4235
O 0.6478 0.4276 0.9235
O 0.8157 0.5205 0.6953
O 0.8157 0.9795 0.1953
O 0.8929 0.2364 0.8584
O 0.8929 0.2636 0.3584

Top 8 peaks for 10° ≤ 2θ ≤ 90°, sorted by position:
| 2theta | Rel. int. |
| --- | --- |
| 23.28 | 44 |
| 23.70 | 100 |
| 23.85 | 40 |
| 26.94 | 40 |
| 30.11 | 13 |
| 30.30 | 44 |
| 36.39 | 22 |
| 41.33 | 19 |

[3]
Simulated powder X-ray diffraction pattern
Compound: MnGa2Ni
Radiation: CuKα
Structure: a PBE-relaxed structure
Intensities are scaled so that the largest is 100.

Atomic structure:
Unit cell a=5.9808 b=5.9808 c=5.9808 alpha=90.00 beta=90.00 gamma=90.00
Fractional positions:
Mn 0.0000 0.0000 0.0000
Mn 0.0000 0.5000 0.5000
Mn 0.5000 0.0000 0.5000
Mn 0.5000 0.5000 0.0000
Ga 0.2500 0.2500 0.2500
Ga 0.2500 0.2500 0.7500
Ga 0.2500 0.7500 0.2500
Ga 0.2500 0.7500 0.7500
Ga 0.7500 0.2500 0.2500
Ga 0.7500 0.2500 0.7500
Ga 0.7500 0.7500 0.2500
Ga 0.7500 0.7500 0.7500
Ni 0.0000 0.0000 0.5000
Ni 0.0000 0.5000 0.0000
Ni 0.5000 0.0000 0.0000
Ni 0.5000 0.5000 0.5000

Top 5 peaks for 10° ≤ 2θ ≤ 90°, sorted by position:
| 2theta | Rel. int. |
| --- | --- |
| 29.88 | 1 |
| 42.76 | 100 |
| 62.07 | 16 |
| 70.40 | 1 |
| 78.32 | 30 |

[4]
Simulated powder X-ray diffraction pattern
Compound: TlF3
Radiation: CuKα
Structure: a PBE-relaxed structure
Intensities are scaled so that the largest is 100.

Atomic structure:
Unit cell a=5.9098 b=7.2702 c=5.0361 alpha=90.00 beta=90.00 gamma=90.00
Fractional positions:
Tl 0.1294 0.2500 0.0392
Tl 0.3706 0.7500 0.5392
Tl 0.6294 0.2500 0.4608
Tl 0.8706 0.7500 0.9608
F 0.0402 0.7500 0.3572
F 0.1581 0.5703 0.8308
F 0.1581 0.9297 0.8308
F 0.3419 0.0703 0.3308
F 0.3419 0.4297 0.3308
F 0.4598 0.2500 0.8572
F 0.5402 0.7500 0.1428
F 0.6581 0.5703 0.6692
F 0.6581 0.9297 0.6692
F 0.8419 0.0703 0.1692
F 0.8419 0.4297 0.1692
F 0.9598 0.2500 0.6428

Top 8 peaks for 10° ≤ 2θ ≤ 90°, sorted by position:
| 2theta | Rel. int. |
| --- | --- |
| 23.21 | 63 |
| 24.49 | 60 |
| 26.28 | 100 |
| 32.71 | 46 |
| 33.99 | 36 |
| 44.22 | 34 |
| 48.59 | 26 |
| 49.16 | 34 |

[5]
Simulated powder X-ray diffraction pattern
Compound: LaUTe6
Radiation: CuKα
Structure: a PBE-relaxed structure
Intensities are scaled so that the largest is 100.

Atomic structure:
Unit cell a=4.4242 b=4.4150 c=25.8619 alpha=90.00 beta=90.00 gamma=90.00
Fractional positions:
La 0.0000 0.0000 0.0000
La 0.0000 0.5000 0.5000
U 0.5000 0.0000 0.6656
U 0.5000 0.5000 0.1656
Te 0.0000 0.0000 0.1313
Te 0.0000 0.0000 0.4012
Te 0.0000 0.0000 0.7554
Te 0.0000 0.5000 0.2554
Te 0.0000 0.5000 0.6313
Te 0.0000 0.5000 0.9012
Te 0.5000 0.0000 0.2553
Te 0.5000 0.0000 0.5403
Te 0.5000 0.0000 0.9009
Te 0.5000 0.5000 0.0403
Te 0.5000 0.5000 0.4009
Te 0.5000 0.5000 0.7553

Top 8 peaks for 10° ≤ 2θ ≤ 90°, sorted by position:
| 2theta | Rel. int. |
| --- | --- |
| 27.59 | 45 |
| 28.78 | 31 |
| 30.42 | 100 |
| 33.50 | 78 |
| 37.70 | 27 |
| 40.84 | 65 |
| 50.00 | 35 |
| 59.13 | 22 |

[6]
Simulated powder X-ray diffraction pattern
Compound: DyHoC4
Radiation: CuKα
Structure: a PBE-relaxed structure
Intensities are scaled so that the largest is 100.

Atomic structure:
Unit cell a=3.6500 b=3.6500 c=6.2001 alpha=90.00 beta=90.00 gamma=90.00
Fractional positions:
Dy 0.0000 0.0000 0.0000
Ho 0.5000 0.5000 0.5000
C 0.0000 0.0000 0.3949
C 0.0000 0.0000 0.6051
C 0.5000 0.5000 0.1053
C 0.5000 0.5000 0.8947

Top 8 peaks for 10° ≤ 2θ ≤ 90°, sorted by position:
| 2theta | Rel. int. |
| --- | --- |
| 28.37 | 100 |
| 28.80 | 33 |
| 34.76 | 48 |
| 45.74 | 37 |
| 50.77 | 28 |
| 58.47 | 29 |
| 58.71 | 18 |
| 74.00 | 18 |

[7]
Simulated powder X-ray diffraction pattern
Compound: YTi2O4
Radiation: CuKα
Structure: a PBE-relaxed structure
Intensities are scaled so that the largest is 100.

Atomic structure:
Unit cell a=6.4738 b=6.4738 c=6.4738 alpha=126.53 beta=126.53 gamma=79.01
Fractional positions:
Y 0.3750 0.1250 0.2500
Y 0.6250 0.8750 0.7500
Ti 0.0000 0.0000 0.5000
Ti 0.0000 0.5000 0.0000
Ti 0.0000 0.5000 0.5000
Ti 0.5000 0.5000 0.0000
O 0.0148 0.1260 0.2843
O 0.2304 0.5148 0.3888
O 0.3416 0.7304 0.2157
O 0.3740 0.1584 0.8888
O 0.6260 0.8416 0.1112
O 0.6584 0.2696 0.7843
O 0.7696 0.4852 0.6112
O 0.9852 0.8740 0.7157

Top 8 peaks for 10° ≤ 2θ ≤ 90°, sorted by position:
| 2theta | Rel. int. |
| --- | --- |
| 28.08 | 36 |
| 30.93 | 35 |
| 35.64 | 100 |
| 48.15 | 19 |
| 52.99 | 21 |
| 54.73 | 16 |
| 57.82 | 16 |
| 58.06 | 23 |

[8]
Simulated powder X-ray diffraction pattern
Compound: Dy3Y
Radiation: CuKα
Structure: a PBE-relaxed structure
Intensities are scaled so that the largest is 100.

Atomic structure:
Unit cell a=7.2466 b=7.2466 c=5.6842 alpha=90.00 beta=90.00 gamma=120.00
Fractional positions:
Dy 0.1662 0.3324 0.2500
Dy 0.1662 0.8338 0.2500
Dy 0.3324 0.1662 0.7500
Dy 0.6676 0.8338 0.2500
Dy 0.8338 0.1662 0.7500
Dy 0.8338 0.6676 0.7500
Y 0.3333 0.6667 0.7500
Y 0.6667 0.3333 0.2500

Top 8 peaks for 10° ≤ 2θ ≤ 90°, sorted by position:
| 2theta | Rel. int. |
| --- | --- |
| 28.44 | 24 |
| 31.48 | 24 |
| 32.60 | 100 |
| 42.93 | 16 |
| 50.37 | 20 |
| 56.76 | 21 |
| 60.61 | 22 |
| 61.29 | 16 |